This entry pairs a crystal structure of Tl6As7 with its calculated X-ray diffraction stick pattern. Radiation: Cu Kα (weighted mean of Kα1 and Kα2). Structure: a crystal structure in Alexandria, relaxed with GGA-PBE.

```
data_Tl6As7
_symmetry_space_group_name_H-M 'R -3 m'
_symmetry_Int_Tables_number 166
_symmetry_space_group_name_Hall '-R 3 2"'
_cell_length_a 6.1670
_cell_length_b 6.1670
_cell_length_c 32.4346
_cell_angle_alpha 90.00
_cell_angle_beta 90.00
_cell_angle_gamma 120.00
loop_
_atom_site_label
_atom_site_type_symbol
_atom_site_fract_x
_atom_site_fract_y
_atom_site_fract_z
Tl1 Tl 0.0000 0.0000 0.0510
Tl2 Tl 0.0000 0.0000 0.1576
Tl3 Tl 0.0000 0.0000 0.3242
As1 As 0.0000 0.0000 0.5000
As2 As 0.0550 0.5275 0.0931
```

The 6 most intense peaks (2θ = 15–90°), sorted by position:
| two_theta | Rel. int. | h k l |
| --- | --- | --- |
| 27.6 | 43 | 0 1 8 |
| 29.0 | 100 | 1 1 0 |
| 32.3 | 32 | 1 0 10 |
| 33.5 | 65 | 1 1 6 |
| 34.8 | 46 | 0 1 11 |
| 55.1 | 26 | 1 2 11 |

---

This entry pairs a crystal structure of Tl3As with its calculated X-ray diffraction stick pattern. Radiation: Cu Kα (weighted mean of Kα1 and Kα2). Structure: a crystal structure in Alexandria, relaxed with GGA-PBE.

```
data_Tl3As
_symmetry_space_group_name_H-M 'P 1 21/m 1'
_symmetry_Int_Tables_number 11
_symmetry_space_group_name_Hall '-P 2yb'
_cell_length_a 7.312
_cell_length_b 4.347
_cell_length_c 7.870
_cell_angle_alpha 90.00
_cell_angle_beta 103.92
_cell_angle_gamma 90.00
loop_
_atom_site_label
_atom_site_type_symbol
_atom_site_fract_x
_atom_site_fract_y
_atom_site_fract_z
Tl1 Tl 0.083 0.250 0.358
Tl2 Tl 0.229 0.250 0.936
Tl3 Tl 0.401 0.750 0.649
As1 As 0.305 0.750 0.222
```

The 6 most intense peaks (2θ = 15–90°), sorted by position:
| two_theta | Rel. int. | h k l |
| --- | --- | --- |
| 30.0 | 42 | 2 0 -2 |
| 30.2 | 39 | 2 0 1 |
| 31.2 | 87 | 0 1 2 |
| 32.5 | 100 | 2 1 0 |
| 41.5 | 30 | 0 2 0 |
| 52.1 | 19 | 2 2 -2 |

---

This entry pairs a crystal structure of TlAs3 with its calculated X-ray diffraction stick pattern. Radiation: Cu Kα (weighted mean of Kα1 and Kα2). Structure: a crystal structure in Alexandria, relaxed with GGA-PBE.

```
data_TlAs3
_symmetry_space_group_name_H-M 'C 1 2/m 1'
_symmetry_Int_Tables_number 12
_symmetry_space_group_name_Hall '-C 2y'
_cell_length_a 5.790
_cell_length_b 6.643
_cell_length_c 5.049
_cell_angle_alpha 90.00
_cell_angle_beta 90.94
_cell_angle_gamma 90.00
loop_
_atom_site_label
_atom_site_type_symbol
_atom_site_fract_x
_atom_site_fract_y
_atom_site_fract_z
Tl1 Tl 0.000 0.000 0.000
As1 As 0.000 0.308 0.500
As2 As 0.000 0.500 0.000
```

The 6 most intense peaks (2θ = 15–90°), sorted by position:
| two_theta | Rel. int. | h k l |
| --- | --- | --- |
| 26.8 | 45 | 1 1 -1 |
| 30.9 | 68 | 2 0 0 |
| 32.3 | 100 | 0 2 1 |
| 35.6 | 50 | 0 0 2 |
| 45.1 | 46 | 2 2 -1 |
| 45.5 | 39 | 2 2 1 |

---

This entry pairs a crystal structure of Tl8As3 with its calculated X-ray diffraction stick pattern. Radiation: Cu Kα (weighted mean of Kα1 and Kα2). Structure: a crystal structure in Alexandria, relaxed with GGA-PBE.

```
data_Tl8As3
_symmetry_space_group_name_H-M 'R -3'
_symmetry_Int_Tables_number 148
_symmetry_space_group_name_Hall '-R 3'
_cell_length_a 10.3277
_cell_length_b 10.3277
_cell_length_c 11.1726
_cell_angle_alpha 90.00
_cell_angle_beta 90.00
_cell_angle_gamma 120.00
loop_
_atom_site_label
_atom_site_type_symbol
_atom_site_fract_x
_atom_site_fract_y
_atom_site_fract_z
Tl1 Tl 0.0000 0.0000 0.1402
Tl2 Tl 0.0007 0.7653 0.3951
As1 As 0.0000 0.5000 0.5000
```

The 6 most intense peaks (2θ = 15–90°), sorted by position:
| two_theta | Rel. int. | h k l |
| --- | --- | --- |
| 27.6 | 100 | 2 1 1 |
| 29.6 | 66 | 2 -1 3 |
| 30.9 | 75 | 1 2 2 |
| 33.6 | 29 | 1 0 4 |
| 42.6 | 26 | 4 -2 3 |
| 46.5 | 27 | 4 1 0 |